(1)
# AgSnPbBr6
Theoretical powder X-ray diffraction pattern, Cu Kα (λ = 1.5418 Å). Input: a structure optimized by DFT (PBE).
Peak positions follow from Bragg's law for the DFT cell and can differ from measured ones.

The 8 most intense peaks (10° ≤ 2θ ≤ 90°), sorted by position:
two_theta	d/Å	I (rel.)
18.2	4.880	100
24.3	3.669	35
27.5	3.240	64
35.7	2.514	99
36.8	2.440	42
44.6	2.032	58
56.8	1.620	23
77.7	1.229	22

Atomic structure:
abc: 6.9012 6.9012 12.9946
angles: 90.00 90.00 90.00
Positions (direct):
Ag: 0.0000 0.0000 0.0000
Ag: 0.5000 0.5000 0.5000
Sn: 0.0000 0.0000 0.3342
Sn: 0.5000 0.5000 0.8342
Pb: 0.0000 0.0000 0.6670
Pb: 0.5000 0.5000 0.1670
Br: 0.1891 0.1891 0.1670
Br: 0.2042 0.2042 0.4884
Br: 0.2064 0.2064 0.8437
Br: 0.2936 0.7064 0.3437
Br: 0.2958 0.7042 0.9884
Br: 0.3109 0.6891 0.6670
Br: 0.6891 0.3109 0.6670
Br: 0.7042 0.2958 0.9884
Br: 0.7064 0.2936 0.3437
Br: 0.7936 0.7936 0.8437
Br: 0.7958 0.7958 0.4884
Br: 0.8109 0.8109 0.1670

(2)
# Ag2Pd2Br7
Theoretical powder X-ray diffraction pattern, Cu Kα (λ = 1.5418 Å). Input: a structure optimized by DFT (PBE).
Peak positions follow from Bragg's law for the DFT cell and can differ from measured ones.

The 8 most intense peaks (10° ≤ 2θ ≤ 90°), sorted by position:
two_theta	d/Å	I (rel.)
13.2	6.687	61
14.9	5.930	58
19.4	4.567	77
25.3	3.524	100
34.1	2.631	59
36.6	2.452	58
38.2	2.358	51
48.5	1.877	61

Atomic structure:
abc: 7.0869 7.0869 14.4827
angles: 98.91 98.91 87.64
Positions (direct):
Ag: 0.1408 0.8201 0.5960
Ag: 0.1799 0.8592 0.9040
Ag: 0.8201 0.1408 0.0960
Ag: 0.8592 0.1799 0.4040
Pd: 0.1499 0.3645 0.7548
Pd: 0.3645 0.1499 0.2548
Pd: 0.6355 0.8501 0.7452
Pd: 0.8501 0.6355 0.2452
Br: 0.0724 0.3518 0.3031
Br: 0.0825 0.2085 0.5863
Br: 0.1724 0.4905 0.9244
Br: 0.2085 0.0825 0.0863
Br: 0.3518 0.0724 0.8031
Br: 0.4459 0.5541 0.7500
Br: 0.4905 0.1724 0.4244
Br: 0.5095 0.8276 0.5756
Br: 0.5541 0.4459 0.2500
Br: 0.6482 0.9276 0.1969
Br: 0.7915 0.9175 0.9137
Br: 0.8276 0.5095 0.0756
Br: 0.9175 0.7915 0.4137
Br: 0.9276 0.6482 0.6969

(3)
# Ag2Pd2Br7
Theoretical powder X-ray diffraction pattern, Cu Kα (λ = 1.5418 Å). Input: a structure optimized by DFT (PBE).
Peak positions follow from Bragg's law for the DFT cell and can differ from measured ones.

The 8 most intense peaks (10° ≤ 2θ ≤ 90°), sorted by position:
two_theta	d/Å	I (rel.)
17.4	5.107	31
18.5	4.791	100
27.4	3.258	17
33.7	2.662	39
36.4	2.468	27
40.8	2.214	20
45.5	1.992	21
46.9	1.935	19

Atomic structure:
abc: 7.1890 7.1890 8.0005
angles: 90.00 90.00 112.64
Positions (direct):
Ag: 0.2120 0.7880 0.0000
Ag: 0.7880 0.2120 0.0000
Pd: 0.2035 0.2035 0.3885
Pd: 0.7965 0.7965 0.6115
Br: 0.1013 0.1013 0.6893
Br: 0.1160 0.4196 0.1640
Br: 0.4196 0.1160 0.1640
Br: 0.5000 0.5000 0.5000
Br: 0.5804 0.8840 0.8360
Br: 0.8840 0.5804 0.8360
Br: 0.8987 0.8987 0.3107